Entry 1:
Calculated powder X-ray diffraction pattern of MgMn2Ag2O4 for CuKα, from a crystal structure in the Materials Project, relaxed with GGA+U.
No peak broadening, texture or thermal motion is included.

Principal peaks in the range 5 to 70 degrees two-theta, low angle first:
12.4°, d = 7.165 Å, rel. 22
24.9°, d = 3.583 Å, rel. 27
31.2°, d = 2.866 Å, rel. 36
33.5°, d = 2.677 Å, rel. 100
35.2°, d = 2.547 Å, rel. 86
38.0°, d = 2.367 Å, rel. 52
46.0°, d = 1.975 Å, rel. 27
50.8°, d = 1.796 Å, rel. 23
56.2°, d = 1.637 Å, rel. 28
58.7°, d = 1.573 Å, rel. 37

Unit cell a=3.1464 b=3.1464 c=14.3304 alpha=90.00 beta=90.00 gamma=120.00
Space group P3m1 (No. 156)
Inequivalent atoms, fractional coordinates:
1 Mg 0.0000 0.0000 0.0000 (multiplicity 1)
2 Mn 0.3333 0.6667 0.1799 (multiplicity 1)
3 Mn 0.3333 0.6667 0.6086 (multiplicity 1)
4 Ag 0.0000 0.0000 0.3910 (multiplicity 1)
5 Ag 0.6667 0.3333 0.8341 (multiplicity 1)
6 O 0.0000 0.0000 0.2427 (multiplicity 1)
7 O 0.0000 0.0000 0.5384 (multiplicity 1)
8 O 0.6667 0.3333 0.0634 (multiplicity 1)
9 O 0.6667 0.3333 0.6751 (multiplicity 1)

=====

Entry 2:
Calculated powder X-ray diffraction pattern of MgMn4Ag4O16 for CuKα, from a crystal structure in the Materials Project, relaxed with GGA+U.
No peak broadening, texture or thermal motion is included.

Principal peaks in the range 5 to 70 degrees two-theta, low angle first:
14.6°, d = 6.061 Å, rel. 48
24.9°, d = 3.576 Å, rel. 100
26.4°, d = 3.377 Å, rel. 42
28.0°, d = 3.192 Å, rel. 29
29.4°, d = 3.035 Å, rel. 80
30.7°, d = 2.916 Å, rel. 43
31.4°, d = 2.853 Å, rel. 22
32.2°, d = 2.783 Å, rel. 51
32.6°, d = 2.744 Å, rel. 19
36.6°, d = 2.458 Å, rel. 27

Unit cell a=5.610 b=7.508 c=8.977 alpha=82.67 beta=85.84 gamma=83.63
Space group P1 (No. 1)
Inequivalent atoms, fractional coordinates:
1 Mg 0.000 0.000 0.000 (multiplicity 1)
2 Mn 0.004 0.539 0.420 (multiplicity 1)
3 Mn 0.452 0.819 0.050 (multiplicity 1)
4 Mn 0.495 0.031 0.559 (multiplicity 1)
5 Mn 0.977 0.358 0.918 (multiplicity 1)
6 Ag 0.001 0.794 0.731 (multiplicity 1)
7 Ag 0.014 0.062 0.330 (multiplicity 1)
8 Ag 0.467 0.322 0.170 (multiplicity 1)
9 Ag 0.487 0.493 0.699 (multiplicity 1)
10 O 0.016 0.186 0.814 (multiplicity 1)
11 O 0.139 0.373 0.332 (multiplicity 1)
12 O 0.155 0.565 0.567 (multiplicity 1)
13 O 0.215 0.988 0.545 (multiplicity 1)
14 O 0.245 0.414 0.947 (multiplicity 1)
15 O 0.248 0.808 0.918 (multiplicity 1)
16 O 0.287 0.992 0.135 (multiplicity 1)
17 O 0.478 0.634 0.165 (multiplicity 1)
18 O 0.502 0.180 0.672 (multiplicity 1)
19 O 0.615 0.104 0.391 (multiplicity 1)
20 O 0.647 0.842 0.624 (multiplicity 1)
21 O 0.709 0.888 0.971 (multiplicity 1)
22 O 0.738 0.488 0.479 (multiplicity 1)
23 O 0.787 0.526 0.843 (multiplicity 1)
24 O 0.852 0.243 0.081 (multiplicity 1)
25 O 0.982 0.728 0.310 (multiplicity 1)

=====

Entry 3:
Calculated powder X-ray diffraction pattern of MgMn2Ag2O4 for CuKα, from a crystal structure in the Materials Project, relaxed with GGA+U.
No peak broadening, texture or thermal motion is included.

Principal peaks in the range 5 to 70 degrees two-theta, low angle first:
12.2°, d = 7.253 Å, rel. 22
30.8°, d = 2.901 Å, rel. 36
33.6°, d = 2.665 Å, rel. 100
35.3°, d = 2.540 Å, rel. 68
38.0°, d = 2.365 Å, rel. 40
41.6°, d = 2.172 Å, rel. 22
45.8°, d = 1.981 Å, rel. 21
50.6°, d = 1.805 Å, rel. 26
55.8°, d = 1.647 Å, rel. 24
59.0°, d = 1.566 Å, rel. 32

Unit cell a=3.1312 b=3.1312 c=14.5067 alpha=90.00 beta=90.00 gamma=120.00
Space group P3m1 (No. 156)
Inequivalent atoms, fractional coordinates:
1 Mg 0.0000 0.0000 0.0000 (multiplicity 1)
2 Mn 0.0000 0.0000 0.1884 (multiplicity 1)
3 Mn 0.0000 0.0000 0.6136 (multiplicity 1)
4 Ag 0.3333 0.6667 0.8371 (multiplicity 1)
5 Ag 0.6667 0.3333 0.3976 (multiplicity 1)
6 O 0.3333 0.6667 0.0657 (multiplicity 1)
7 O 0.3333 0.6667 0.6798 (multiplicity 1)
8 O 0.6667 0.3333 0.2511 (multiplicity 1)
9 O 0.6667 0.3333 0.5436 (multiplicity 1)

=====

Entry 4:
Calculated powder X-ray diffraction pattern of MgMn4Ag4O16 for CuKα, from a crystal structure in the Materials Project, relaxed with GGA+U.
No peak broadening, texture or thermal motion is included.

Principal peaks in the range 5 to 70 degrees two-theta, low angle first:
15.9°, d = 5.589 Å, rel. 34
21.2°, d = 4.195 Å, rel. 41
25.5°, d = 3.495 Å, rel. 50
26.7°, d = 3.333 Å, rel. 44
27.9°, d = 3.196 Å, rel. 100
28.9°, d = 3.087 Å, rel. 84
29.3°, d = 3.051 Å, rel. 58
30.2°, d = 2.956 Å, rel. 43
32.6°, d = 2.750 Å, rel. 52
46.0°, d = 1.974 Å, rel. 30

Unit cell a=5.531 b=7.956 c=8.394 alpha=86.68 beta=89.68 gamma=83.87
Space group P1 (No. 1)
Inequivalent atoms, fractional coordinates:
1 Mg 0.000 0.000 0.000 (multiplicity 1)
2 Mn 0.019 0.093 0.402 (multiplicity 1)
3 Mn 0.060 0.339 0.921 (multiplicity 1)
4 Mn 0.515 0.574 0.520 (multiplicity 1)
5 Mn 0.544 0.818 0.027 (multiplicity 1)
6 Ag 0.009 0.594 0.248 (multiplicity 1)
7 Ag 0.522 0.112 0.688 (multiplicity 1)
8 Ag 0.560 0.327 0.181 (multiplicity 1)
9 Ag 0.988 0.754 0.705 (multiplicity 1)
10 O 0.002 0.476 0.770 (multiplicity 1)
11 O 0.027 0.968 0.251 (multiplicity 1)
12 O 0.208 0.410 0.075 (multiplicity 1)
13 O 0.218 0.151 0.866 (multiplicity 1)
14 O 0.256 0.800 0.968 (multiplicity 1)
15 O 0.293 0.126 0.452 (multiplicity 1)
16 O 0.356 0.734 0.597 (multiplicity 1)
17 O 0.377 0.526 0.355 (multiplicity 1)
18 O 0.533 0.959 0.160 (multiplicity 1)
19 O 0.540 0.410 0.643 (multiplicity 1)
20 O 0.686 0.632 0.091 (multiplicity 1)
21 O 0.728 0.898 0.877 (multiplicity 1)
22 O 0.785 0.633 0.474 (multiplicity 1)
23 O 0.813 0.239 0.992 (multiplicity 1)
24 O 0.868 0.276 0.346 (multiplicity 1)
25 O 0.877 0.012 0.558 (multiplicity 1)